Diffraction record for Ac2BiSb2O2. The X-ray powder pattern is theoretical, not measured: it uses a crystal structure in Alexandria, relaxed with GGA-PBE and Cu Kα, 1.54184 Å.
Kinematic intensities with the Lorentz-polarization factor, no thermal factor.

Crystal structure
Unit cell a=4.011 b=4.011 c=15.051 alpha=90.00 beta=90.00 gamma=120.00
Positions (direct):
Ac 0.333 0.667 0.112
Ac 0.667 0.333 0.888
Bi 0.000 0.000 0.500
Sb 0.000 0.000 0.293
Sb 0.000 0.000 0.707
O 0.333 0.667 0.937
O 0.667 0.333 0.063

Main lines, in order of falling intensity (10° ≤ 2θ ≤ 90°):
d [Å], I (rel.)
3.385, 100
2.553, 53
3.154, 41
2.006, 38
1.669, 38
3.010, 35

Diffraction record for AcScBi2O8. The X-ray powder pattern is theoretical, not measured: it uses a crystal structure in Alexandria, relaxed with GGA-PBE and Cu Kα, 1.54184 Å.
Kinematic intensities with the Lorentz-polarization factor, no thermal factor.

Crystal structure
Unit cell a=6.913 b=6.913 c=6.913 alpha=133.46 beta=133.46 gamma=67.92
Positions (direct):
Ac 0.000 0.000 0.000
Sc 0.250 0.750 0.500
Bi 0.500 0.500 0.000
Bi 0.750 0.250 0.500
O 0.059 0.086 0.470
O 0.217 0.655 0.077
O 0.345 0.421 0.562
O 0.411 0.941 0.028
O 0.579 0.140 0.923
O 0.616 0.589 0.530
O 0.860 0.783 0.438
O 0.914 0.384 0.972

Main lines, in order of falling intensity (10° ≤ 2θ ≤ 90°):
d [Å], I (rel.)
3.203, 100
1.977, 33
1.654, 30
2.731, 22
1.713, 17
1.931, 16

Diffraction record for AcSmBi2O8. The X-ray powder pattern is theoretical, not measured: it uses a crystal structure in Alexandria, relaxed with GGA-PBE and Cu Kα, 1.54184 Å.
Kinematic intensities with the Lorentz-polarization factor, no thermal factor.

Crystal structure
Unit cell a=7.100 b=7.100 c=7.100 alpha=133.60 beta=133.60 gamma=67.72
Positions (direct):
Ac 0.000 0.000 0.000
Sm 0.250 0.750 0.500
Bi 0.500 0.500 0.000
Bi 0.750 0.250 0.500
O 0.039 0.093 0.452
O 0.226 0.657 0.075
O 0.343 0.418 0.569
O 0.414 0.961 0.054
O 0.582 0.151 0.925
O 0.641 0.586 0.548
O 0.849 0.774 0.431
O 0.907 0.359 0.946

Main lines, in order of falling intensity (10° ≤ 2θ ≤ 90°):
d [Å], I (rel.)
3.285, 100
2.029, 32
1.694, 31
2.797, 24
1.760, 17
1.978, 15

Diffraction record for AcSnBi2O6. The X-ray powder pattern is theoretical, not measured: it uses a crystal structure in Alexandria, relaxed with GGA-PBE and Cu Kα, 1.54184 Å.
Kinematic intensities with the Lorentz-polarization factor, no thermal factor.

Crystal structure
Unit cell a=6.125 b=6.125 c=6.125 alpha=61.88 beta=61.88 gamma=61.88
Positions (direct):
Ac 0.000 0.000 0.000
Sn 0.484 0.484 0.484
Bi 0.267 0.267 0.267
Bi 0.768 0.768 0.768
O 0.126 0.636 0.374
O 0.150 0.596 0.861
O 0.374 0.126 0.636
O 0.596 0.861 0.150
O 0.636 0.374 0.126
O 0.861 0.150 0.596

Main lines, in order of falling intensity (10° ≤ 2θ ≤ 90°):
d [Å], I (rel.)
3.149, 100
3.060, 87
1.801, 45
2.195, 41
1.818, 27
1.400, 18